The following is a computed XRD peak list of BaBi2I2O2. It was derived from DFT lattice parameters and positions (GGA-PBE), using Cu Kα (weighted mean of Kα1 and Kα2).
Intensities are scaled so that the largest is 1000.

Most intense lines, 5° ≤ 2θ ≤ 70°, sorted by position:
2θ 5.17, d 17.085, intensity 1000, hkl 0 0 2; 2θ 10.36, d 8.543, intensity 102, hkl 0 0 4; 2θ 25.10, d 3.548, intensity 113, hkl 1 0 5; 2θ 28.22, d 3.163, intensity 342, hkl 1 0 7; 2θ 30.45, d 2.936, intensity 152, hkl 1 1 0; 2θ 30.91, d 2.893, intensity 54, hkl 1 1 2; 2θ 36.11, d 2.487, intensity 65, hkl 1 0 11; 2θ 43.60, d 2.076, intensity 68, hkl 2 0 0; 2θ 52.75, d 1.735, intensity 122, hkl 2 1 7; 2θ 57.85, d 1.594, intensity 65, hkl 1 1 18

Cell and atoms:
```
data_BaBi2I2O2
_symmetry_space_group_name_H-M 'I 4 m m'
_symmetry_Int_Tables_number 107
_symmetry_space_group_name_Hall 'I 4 -2'
_cell_length_a 4.152
_cell_length_b 4.152
_cell_length_c 34.170
_cell_angle_alpha 90.00
_cell_angle_beta 90.00
_cell_angle_gamma 90.00
loop_
_atom_site_label
_atom_site_type_symbol
_atom_site_fract_x
_atom_site_fract_y
_atom_site_fract_z
Ba1 Ba 0.000 0.000 0.000
Bi1 Bi 0.000 0.000 0.406
Bi2 Bi 0.000 0.000 0.837
I1 I 0.000 0.000 0.284
I2 I 0.000 0.000 0.555
O1 O 0.000 0.500 0.372
```